For BaAl4Au4, a crystal structure in Alexandria, relaxed with GGA-PBE gives the calculated powder XRD pattern in this record (Cu Kα, 1.54184 Å).

Largest 12 diffraction maxima, low angle first, 2θ = 15–90°:
Position (°2θ)  intensity
19.75  294
28.07  206
28.92  1000
31.46  380
37.34  256
42.63  197
45.67  525
49.60  215
54.46  143
59.98  141
72.83  128
73.20  133

Structure:
```
data_BaAl4Au4
_chemical_formula_sum 'Ba2 Al8 Au8'
_cell_length_a 8.9913
_cell_length_b 8.9913
_cell_length_c 4.8171
_cell_angle_alpha 90.00
_cell_angle_beta 90.00
_cell_angle_gamma 90.00
_symmetry_space_group_name_H-M 'I 4/m'
_symmetry_Int_Tables_number 87
_symmetry_space_group_name_Hall '-I 4'
loop_
_atom_site_label
_atom_site_fract_x
_atom_site_fract_y
_atom_site_fract_z
Ba1 0.0000 0.0000 0.0000
Al1 0.1078 0.6132 0.5000
Au1 0.1678 0.3039 0.5000
```